Entry 1:
This entry pairs a crystal structure of Ho5Sn3 with its simulated powder X-ray diffraction pattern. Radiation: copper Kα. Structure: a structure optimized by DFT (GGA-PBE).

The 10 most intense peaks (10 to 90 degrees two-theta), by angle:
| 2theta | I_rel |
| --- | --- |
| 27.31 | 16 |
| 29.70 | 22 |
| 30.60 | 34 |
| 33.61 | 100 |
| 34.02 | 75 |
| 34.82 | 36 |
| 49.48 | 19 |
| 52.42 | 29 |
| 55.24 | 14 |
| 66.98 | 18 |

Structure:
```
Ho5Sn3
1.0
8.9251 0.0000 0.0000
-4.4626 7.7294 0.0000
0.0000 0.0000 6.5305
Ho Sn
10 6
direct
0.0000 0.2374 0.2500 Ho
0.0000 0.7626 0.7500 Ho
0.2374 0.0000 0.2500 Ho
0.2374 0.2374 0.7500 Ho
0.3333 0.6667 0.0000 Ho
0.3333 0.6667 0.5000 Ho
0.6667 0.3333 0.0000 Ho
0.6667 0.3333 0.5000 Ho
0.7626 0.0000 0.7500 Ho
0.7626 0.7626 0.2500 Ho
0.0000 0.3954 0.7500 Sn
0.0000 0.6046 0.2500 Sn
0.3954 0.0000 0.7500 Sn
0.3954 0.3954 0.2500 Sn
0.6046 0.0000 0.2500 Sn
0.6046 0.6046 0.7500 Sn
```

***

Entry 2:
This entry pairs a crystal structure of HoZnSn with its simulated powder X-ray diffraction pattern. Radiation: copper Kα. Structure: a structure optimized by DFT (GGA-PBE).

The 10 most intense peaks (10 to 90 degrees two-theta), by angle:
| 2theta | I_rel |
| --- | --- |
| 22.66 | 9 |
| 28.51 | 15 |
| 32.39 | 100 |
| 39.79 | 61 |
| 46.95 | 12 |
| 52.21 | 26 |
| 62.95 | 16 |
| 67.59 | 24 |
| 72.22 | 11 |
| 85.77 | 7 |

Structure:
```
HoZnSn
1.0
4.5313 0.0000 0.0000
-2.2656 3.9242 0.0000
0.0000 0.0000 15.5730
Ho Zn Sn
4 4 4
direct
0.0000 0.0000 0.0000 Ho
0.0000 0.0000 0.2500 Ho
0.0000 0.0000 0.5000 Ho
0.0000 0.0000 0.7500 Ho
0.3333 0.6667 0.1585 Zn
0.3333 0.6667 0.3415 Zn
0.6667 0.3333 0.6585 Zn
0.6667 0.3333 0.8415 Zn
0.3333 0.6667 0.6115 Sn
0.3333 0.6667 0.8885 Sn
0.6667 0.3333 0.1115 Sn
0.6667 0.3333 0.3885 Sn
```

***

Entry 3:
This entry pairs a crystal structure of HoZnSn2 with its simulated powder X-ray diffraction pattern. Radiation: copper Kα. Structure: a structure optimized by DFT (GGA-PBE).

The 10 most intense peaks (10 to 90 degrees two-theta), by angle:
| 2theta | I_rel |
| --- | --- |
| 34.20 | 7 |
| 34.31 | 100 |
| 36.52 | 14 |
| 41.40 | 35 |
| 50.26 | 7 |
| 50.89 | 7 |
| 56.37 | 16 |
| 59.99 | 12 |
| 70.96 | 25 |
| 72.31 | 8 |

Structure:
```
HoZnSn2
1.0
4.3619 0.0000 0.0000
0.0000 4.3619 0.0000
0.0000 0.0000 9.8424
Ho Zn Sn
2 2 4
direct
0.2500 0.2500 0.2499 Ho
0.7500 0.7500 0.7501 Ho
0.2500 0.7500 0.0000 Zn
0.7500 0.2500 0.0000 Zn
0.2500 0.2500 0.8113 Sn
0.2500 0.7500 0.5000 Sn
0.7500 0.2500 0.5000 Sn
0.7500 0.7500 0.1887 Sn
```

***

Entry 4:
This entry pairs a crystal structure of HoTa3 with its simulated powder X-ray diffraction pattern. Radiation: copper Kα. Structure: a structure optimized by DFT (GGA-PBE).

The 4 most intense peaks (10 to 90 degrees two-theta), by angle:
| 2theta | I_rel |
| --- | --- |
| 37.03 | 100 |
| 53.37 | 18 |
| 66.73 | 36 |
| 78.85 | 11 |

Structure:
```
HoTa3
1.0
0.0000 3.4334 3.4334
3.4334 0.0000 3.4334
3.4334 3.4334 0.0000
Ho Ta
1 3
direct
0.0000 0.0000 0.0000 Ho
0.2500 0.2500 0.2500 Ta
0.5000 0.5000 0.5000 Ta
0.7500 0.7500 0.7500 Ta
```

***

Entry 5:
This entry pairs a crystal structure of TbHo with its simulated powder X-ray diffraction pattern. Radiation: copper Kα. Structure: a structure optimized by DFT (GGA-PBE).

The 10 most intense peaks (10 to 90 degrees two-theta), by angle:
| 2theta | I_rel |
| --- | --- |
| 28.64 | 24 |
| 31.23 | 25 |
| 32.71 | 100 |
| 42.88 | 16 |
| 50.73 | 20 |
| 56.52 | 21 |
| 60.78 | 23 |
| 61.68 | 16 |
| 83.83 | 14 |
| 86.94 | 9 |

Structure:
```
TbHo
1.0
3.5994 0.0000 0.0000
-1.7997 3.1171 0.0000
0.0000 0.0000 5.7284
Tb Ho
1 1
direct
0.0000 0.0000 0.0000 Tb
0.3333 0.6667 0.5000 Ho
```

***

Entry 6:
This entry pairs a crystal structure of TbHo3 with its simulated powder X-ray diffraction pattern. Radiation: copper Kα. Structure: a structure optimized by DFT (GGA-PBE).

The 10 most intense peaks (10 to 90 degrees two-theta), by angle:
| 2theta | I_rel |
| --- | --- |
| 31.01 | 100 |
| 35.86 | 17 |
| 36.01 | 34 |
| 51.73 | 24 |
| 51.84 | 12 |
| 61.45 | 14 |
| 61.64 | 28 |
| 64.64 | 12 |
| 84.50 | 12 |
| 87.40 | 11 |

Structure:
```
TbHo3
1.0
-2.4942 2.4942 5.0080
2.4942 -2.4942 5.0080
2.4942 2.4942 -5.0080
Tb Ho
1 3
direct
0.0000 0.0000 0.0000 Tb
0.2500 0.7500 0.5000 Ho
0.5000 0.5000 0.0000 Ho
0.7500 0.2500 0.5000 Ho
```

***

Entry 7:
This entry pairs a crystal structure of TbHo3 with its simulated powder X-ray diffraction pattern. Radiation: copper Kα. Structure: a structure optimized by DFT (GGA-PBE).

The 8 most intense peaks (10 to 90 degrees two-theta), by angle:
| 2theta | I_rel |
| --- | --- |
| 31.04 | 100 |
| 35.99 | 51 |
| 51.81 | 36 |
| 61.64 | 43 |
| 64.70 | 12 |
| 76.32 | 6 |
| 84.65 | 18 |
| 87.39 | 17 |

Structure:
```
TbHo3
1.0
4.9906 0.0000 0.0000
0.0000 4.9906 0.0000
0.0000 0.0000 4.9906
Tb Ho
1 3
direct
0.0000 0.0000 0.0000 Tb
0.0000 0.5000 0.5000 Ho
0.5000 0.0000 0.5000 Ho
0.5000 0.5000 0.0000 Ho
```

***

Entry 8:
This entry pairs a crystal structure of Ho2Te3 with its simulated powder X-ray diffraction pattern. Radiation: copper Kα. Structure: a structure optimized by DFT (GGA-PBE).

The 10 most intense peaks (10 to 90 degrees two-theta), by angle:
| 2theta | I_rel |
| --- | --- |
| 12.96 | 26 |
| 29.01 | 100 |
| 29.20 | 49 |
| 41.36 | 19 |
| 41.63 | 94 |
| 51.42 | 21 |
| 51.66 | 21 |
| 68.22 | 18 |
| 68.51 | 17 |
| 75.98 | 19 |

Structure:
```
Ho2Te3
1.0
0.0000 6.1173 13.0991
4.3384 0.0000 13.0991
4.3384 6.1173 0.0000
Ho Te
8 12
direct
0.0423 0.0423 0.2077 Ho
0.1251 0.1251 0.6249 Ho
0.2077 0.2077 0.0423 Ho
0.3751 0.3751 0.8749 Ho
0.6249 0.6249 0.1251 Ho
0.7923 0.7923 0.9577 Ho
0.8749 0.8749 0.3751 Ho
0.9577 0.9577 0.7923 Ho
0.0432 0.5410 0.2078 Te
0.1276 0.6224 0.6224 Te
0.2078 0.7081 0.0432 Te
0.2919 0.7922 0.4590 Te
0.3776 0.8724 0.8724 Te
0.4590 0.9568 0.2919 Te
0.5410 0.0432 0.7081 Te
0.6224 0.1276 0.1276 Te
0.7081 0.2078 0.5410 Te
0.7922 0.2919 0.9568 Te
0.8724 0.3776 0.3776 Te
0.9568 0.4590 0.7922 Te
```